Record 1
For Li3Ti2P3O12, the PBE geometry in the Materials Project gives the computed PXRD pattern in this record (Cu Kα (λ = 1.5418 Å)).

Main lines, by intensity (2θ from 10° to 80°):
2theta, I (rel.)
23.93, 1000
14.28, 731
19.56, 634
31.36, 493
28.79, 453
31.44, 241
24.00, 191
32.41, 143

Cell and atoms:
```
40
Lattice="8.4764 0.0000 0.0000 4.2351 7.3674 0.0000 4.2203 2.4303 7.6912" Properties=species:S:1:pos:R:3 pbc="T T T"
Li 0.0000 0.0000 0.0000
Li 5.3035 4.7588 5.5419
Li 3.6240 2.5462 0.0048
Li 9.9377 7.7293 5.5810
Li 8.5150 5.2845 1.6625
Li 9.2845 2.8540 5.5684
Ti 6.7144 7.6022 2.3061
Ti 6.7443 2.6524 3.2626
Ti 10.9976 5.1383 6.2934
Ti 15.1817 7.5861 6.9584
P 3.7461 2.3670 4.7009
P 5.5129 4.8119 0.8517
P 8.0107 5.4147 4.7006
P 5.5401 0.5259 0.8695
P 12.7728 7.5620 4.6948
P 9.2541 2.6891 0.8580
O 2.0661 1.8239 0.9823
O 8.1606 8.6731 5.8646
O 3.3175 1.6739 3.4115
O 4.0648 4.4255 0.4098
O 6.9815 5.8088 5.8281
O 5.6118 6.3621 0.9860
O 5.1327 3.0582 4.5596
O 5.9208 4.1134 2.1419
O 7.6759 6.0817 3.3537
O 8.4048 7.1935 1.0775
O 7.9163 3.8685 4.5654
O 10.7140 6.8213 7.3853
O 9.4384 5.8413 5.1373
O 5.9895 1.2232 2.1444
O 9.5591 4.0083 7.3942
O 11.4835 8.4209 4.5582
O 8.4447 2.7708 2.1435
O 10.8451 6.8544 0.4321
O 13.6761 8.2659 5.7738
O 12.4120 6.1205 5.1447
O 9.6324 4.1496 0.4583
O 11.1620 3.4202 5.1539
O 12.6496 4.4337 7.3912
O 13.5603 7.5200 3.3741
```

Record 2
For ErMg3, the PBE geometry in the Materials Project gives the computed PXRD pattern in this record (Cu Kα (λ = 1.5418 Å)).

Main lines, by intensity (2θ from 10° to 80°):
2theta, I (rel.)
23.10, 1000
35.72, 988
26.87, 455
15.42, 393
45.26, 330
44.33, 241
34.59, 240
31.12, 239

Cell and atoms:
```
8
Lattice="6.6367 0.0000 0.0000 -3.3184 5.7476 0.0000 0.0000 0.0000 5.1867" Properties=species:S:1:pos:R:3 pbc="T T T"
Er 0.0000 3.8317 1.2967
Er 3.3184 1.9159 3.8900
Mg 0.0000 1.8830 3.8900
Mg -1.6876 4.8060 3.8900
Mg 1.6308 0.9415 1.2967
Mg 1.6876 4.8060 3.8900
Mg 5.0059 0.9415 1.2967
Mg 3.3184 3.8645 1.2967
```

Record 3
For HoThRu2, the PBE geometry in the Materials Project gives the computed PXRD pattern in this record (Cu Kα (λ = 1.5418 Å)).

Main lines, by intensity (2θ from 10° to 80°):
2theta, I (rel.)
36.59, 1000
65.87, 361
52.71, 176
77.77, 113
25.65, 110
59.51, 49
45.22, 35
22.16, 23

Cell and atoms:
```
4
Lattice="0.0000 3.4734 3.4734 3.4734 0.0000 3.4734 3.4734 3.4734 0.0000" Properties=species:S:1:pos:R:3 pbc="T T T"
Ho 0.0000 0.0000 0.0000
Th 3.4734 3.4734 3.4734
Ru 1.7367 1.7367 1.7367
Ru 5.2102 5.2102 5.2102
```

Record 4
For UFeS3, the PBE geometry in the Materials Project gives the computed PXRD pattern in this record (Cu Kα (λ = 1.5418 Å)).

Main lines, by intensity (2θ from 10° to 80°):
2theta, I (rel.)
27.73, 1000
26.80, 955
36.67, 860
41.14, 827
16.56, 452
47.91, 289
42.59, 253
20.92, 250

Cell and atoms:
```
10
Lattice="1.8373 -5.3521 0.0000 1.8373 5.3521 0.0000 0.0000 0.0000 8.4918" Properties=species:S:1:pos:R:3 pbc="T T T"
U 1.8373 2.8571 6.3689
U 1.8373 -2.8571 2.1230
Fe 0.0000 0.0000 0.0000
Fe 0.0000 0.0000 4.2459
S 1.8373 4.5142 2.1230
S 1.8373 1.3991 0.3739
S 1.8373 1.3991 3.8720
S 1.8373 -1.3991 4.6198
S 1.8373 -1.3991 8.1179
S 1.8373 -4.5142 6.3689
```